# 1
For LuInCo4, a PBE-relaxed structure gives the theoretical PXRD pattern in this record (Cu Kα (λ = 1.5418 Å)).
Intensities are scaled so that the largest is 100.

Structure:
```
data_LuInCo4
_chemical_formula_sum 'Lu4 In4 Co16'
_cell_length_a 7.014
_cell_length_b 7.014
_cell_length_c 7.014
_cell_angle_alpha 90.00
_cell_angle_beta 90.00
_cell_angle_gamma 90.00
_space_group_name_H-M_alt 'F -4 3 m'
_space_group_IT_number 216
_space_group_name_Hall 'F -4 2 3'
loop_
_atom_site_label
_atom_site_fract_x
_atom_site_fract_y
_atom_site_fract_z
Lu1 0.000 0.000 0.000
In1 0.250 0.250 0.250
Co1 0.125 0.125 0.625
```

Top 10 peaks for 2θ from 15° to 90°, most intense first:
- 2θ = 42.76°, 2.115 Å, I = 100, (3 1 1)
- 2θ = 36.23°, 2.480 Å, I = 61, (2 2 0)
- 2θ = 69.66°, 1.350 Å, I = 30, (5 1 1)
- 2θ = 65.16°, 1.432 Å, I = 22, (4 2 2)
- 2θ = 76.89°, 1.240 Å, I = 22, (4 4 0)
- 2θ = 44.76°, 2.025 Å, I = 17, (2 2 2)
- 2θ = 21.95°, 4.049 Å, I = 13, (1 1 1)
- 2θ = 88.08°, 1.109 Å, I = 10, (6 2 0)
- 2θ = 57.26°, 1.609 Å, I = 4, (3 3 1)
- 2θ = 81.12°, 1.186 Å, I = 3, (5 3 1)

---

# 2
For Lu6InCo2, a PBE-relaxed structure gives the theoretical PXRD pattern in this record (Cu Kα (λ = 1.5418 Å)).
Intensities are scaled so that the largest is 100.

Structure:
```
data_Lu6InCo2
_chemical_formula_sum 'Lu24 In4 Co8'
_cell_length_a 9.261
_cell_length_b 9.393
_cell_length_c 9.865
_cell_angle_alpha 90.00
_cell_angle_beta 90.00
_cell_angle_gamma 90.00
_space_group_name_H-M_alt 'I m m m'
_space_group_IT_number 71
_space_group_name_Hall '-I 2 2'
loop_
_atom_site_label
_atom_site_fract_x
_atom_site_fract_y
_atom_site_fract_z
Lu1 0.000 0.210 0.236
Lu2 0.195 0.500 0.183
Lu3 0.213 0.314 0.500
In1 0.000 0.000 0.000
In2 0.000 0.000 0.500
Co1 0.000 0.371 0.000
Co2 0.000 0.500 0.386
```

Top 10 peaks for 2θ from 15° to 90°, most intense first:
- 2θ = 32.67°, 2.741 Å, I = 100, (2 2 2)
- 2θ = 35.31°, 2.542 Å, I = 36, (1 3 2)
- 2θ = 34.80°, 2.578 Å, I = 29, (2 1 3)
- 2θ = 35.80°, 2.509 Å, I = 26, (2 3 1)
- 2θ = 38.91°, 2.314 Å, I = 21, (4 0 0)
- 2θ = 30.48°, 2.933 Å, I = 21, (3 1 0)
- 2θ = 61.09°, 1.517 Å, I = 21, (5 3 2)
- 2θ = 28.77°, 3.103 Å, I = 18, (0 1 3)
- 2θ = 36.43°, 2.466 Å, I = 16, (0 0 4)
- 2θ = 29.94°, 2.984 Å, I = 15, (0 3 1)

---

# 3
For Mn2InCo, a PBE-relaxed structure gives the theoretical PXRD pattern in this record (Cu Kα (λ = 1.5418 Å)).
Intensities are scaled so that the largest is 100.

Structure:
```
data_Mn2InCo
_chemical_formula_sum 'Mn8 In4 Co4'
_cell_length_a 6.174
_cell_length_b 6.174
_cell_length_c 6.174
_cell_angle_alpha 90.00
_cell_angle_beta 90.00
_cell_angle_gamma 90.00
_space_group_name_H-M_alt 'F -4 3 m'
_space_group_IT_number 216
_space_group_name_Hall 'F -4 2 3'
loop_
_atom_site_label
_atom_site_fract_x
_atom_site_fract_y
_atom_site_fract_z
Mn1 0.000 0.000 0.000
Mn2 0.250 0.250 0.250
In1 0.000 0.000 0.500
Co1 0.250 0.250 0.750
```

Top 10 peaks for 2θ from 15° to 90°, most intense first:
- 2θ = 41.36°, 2.183 Å, I = 100, (2 2 0)
- 2θ = 75.43°, 1.260 Å, I = 30, (4 2 2)
- 2θ = 59.93°, 1.544 Å, I = 16, (4 0 0)
- 2θ = 24.98°, 3.565 Å, I = 11, (1 1 1)
- 2θ = 89.88°, 1.091 Å, I = 10, (4 4 0)
- 2θ = 48.93°, 1.862 Å, I = 6, (3 1 1)
- 2θ = 28.92°, 3.087 Å, I = 5, (2 0 0)
- 2θ = 65.95°, 1.416 Å, I = 2, (3 3 1)
- 2θ = 80.90°, 1.188 Å, I = 2, (5 1 1)
- 2θ = 67.89°, 1.381 Å, I = 2, (4 2 0)

---

# 4
For InCo3N, a PBE-relaxed structure gives the theoretical PXRD pattern in this record (Cu Kα (λ = 1.5418 Å)).
Intensities are scaled so that the largest is 100.

Structure:
```
data_InCo3N
_chemical_formula_sum 'In1 Co3 N1'
_cell_length_a 3.853
_cell_length_b 3.853
_cell_length_c 3.853
_cell_angle_alpha 90.00
_cell_angle_beta 90.00
_cell_angle_gamma 90.00
_space_group_name_H-M_alt 'P m -3 m'
_space_group_IT_number 221
_space_group_name_Hall '-P 4 2 3'
loop_
_atom_site_label
_atom_site_fract_x
_atom_site_fract_y
_atom_site_fract_z
In1 0.000 0.000 0.000
Co1 0.000 0.500 0.500
N1 0.500 0.500 0.500
```

Top 10 peaks for 2θ from 15° to 90°, most intense first:
- 2θ = 40.56°, 2.224 Å, I = 100, (1 1 1)
- 2θ = 47.18°, 1.926 Å, I = 56, (2 0 0)
- 2θ = 83.16°, 1.162 Å, I = 34, (3 1 1)
- 2θ = 68.94°, 1.362 Å, I = 33, (2 2 0)
- 2θ = 32.88°, 2.724 Å, I = 15, (1 1 0)
- 2θ = 87.76°, 1.112 Å, I = 11, (2 2 2)
- 2θ = 23.09°, 3.853 Å, I = 6, (1 0 0)
- 2θ = 58.70°, 1.573 Å, I = 5, (2 1 1)
- 2θ = 53.16°, 1.723 Å, I = 3, (2 1 0)
- 2θ = 78.51°, 1.218 Å, I = 2, (3 1 0)

---

# 5
For In2Co3N4, a PBE-relaxed structure gives the theoretical PXRD pattern in this record (Cu Kα (λ = 1.5418 Å)).
Intensities are scaled so that the largest is 100.

Structure:
```
data_In2Co3N4
_chemical_formula_sum 'In8 Co12 N16'
_cell_length_a 8.475
_cell_length_b 6.621
_cell_length_c 8.103
_cell_angle_alpha 90.00
_cell_angle_beta 90.71
_cell_angle_gamma 90.00
_space_group_name_H-M_alt 'C 1 2/c 1'
_space_group_IT_number 15
_space_group_name_Hall '-C 2yc'
loop_
_atom_site_label
_atom_site_fract_x
_atom_site_fract_y
_atom_site_fract_z
In1 0.155 0.196 0.330
Co1 0.000 0.266 0.750
Co2 0.128 0.344 0.014
N1 0.088 0.373 0.561
N2 0.178 0.139 0.857
```

Top 10 peaks for 2θ from 15° to 90°, most intense first:
- 2θ = 26.93°, 3.310 Å, I = 100, (0 2 0)
- 2θ = 36.17°, 2.484 Å, I = 91, (3 1 -1)
- 2θ = 37.62°, 2.391 Å, I = 77, (1 1 3)
- 2θ = 27.78°, 3.212 Å, I = 59, (1 1 -2)
- 2θ = 36.44°, 2.466 Å, I = 47, (3 1 1)
- 2θ = 48.10°, 1.892 Å, I = 46, (1 3 -2)
- 2θ = 37.38°, 2.406 Å, I = 30, (1 1 -3)
- 2θ = 49.64°, 1.836 Å, I = 29, (2 0 -4)
- 2θ = 36.26°, 2.478 Å, I = 28, (2 2 1)
- 2θ = 29.14°, 3.064 Å, I = 27, (0 2 1)

---

# 6
For NdIn5Co, a PBE-relaxed structure gives the theoretical PXRD pattern in this record (Cu Kα (λ = 1.5418 Å)).
Intensities are scaled so that the largest is 100.

Structure:
```
data_NdIn5Co
_chemical_formula_sum 'Nd1 In5 Co1'
_cell_length_a 4.648
_cell_length_b 4.648
_cell_length_c 7.588
_cell_angle_alpha 90.00
_cell_angle_beta 90.00
_cell_angle_gamma 90.00
_space_group_name_H-M_alt 'P 4/m m m'
_space_group_IT_number 123
_space_group_name_Hall '-P 4 2'
loop_
_atom_site_label
_atom_site_fract_x
_atom_site_fract_y
_atom_site_fract_z
Nd1 0.000 0.000 0.000
In1 0.000 0.500 0.308
In2 0.500 0.500 0.000
Co1 0.000 0.000 0.500
```

Top 10 peaks for 2θ from 15° to 90°, most intense first:
- 2θ = 36.16°, 2.484 Å, I = 100, (1 1 2)
- 2θ = 38.75°, 2.324 Å, I = 57, (2 0 0)
- 2θ = 29.62°, 3.016 Å, I = 51, (1 1 1)
- 2θ = 68.46°, 1.371 Å, I = 29, (3 1 2)
- 2θ = 68.04°, 1.378 Å, I = 27, (1 1 5)
- 2θ = 53.55°, 1.711 Å, I = 27, (2 0 3)
- 2θ = 55.96°, 1.643 Å, I = 24, (2 2 0)
- 2θ = 35.49°, 2.529 Å, I = 22, (0 0 3)
- 2θ = 64.59°, 1.443 Å, I = 11, (3 1 1)
- 2θ = 83.13°, 1.162 Å, I = 9, (4 0 0)